No. 1
For LaPm3Pb2, a cell relaxed with GGA-PBE gives the computed X-ray powder pattern in this record (Cu Kα).

Largest 12 diffraction maxima, sorted by position, 5 to 70 degrees two-theta:
| 2θ (°) | intensity |
| --- | --- |
| 27.0 | 28 |
| 28.8 | 82 |
| 29.9 | 42 |
| 33.7 | 100 |
| 35.6 | 26 |
| 38.5 | 61 |
| 49.5 | 42 |
| 53.5 | 17 |
| 55.6 | 21 |
| 63.8 | 17 |
| 64.4 | 19 |
| 66.6 | 28 |

Cell and atoms:
Cell lengths 4.6761, 4.6761, 8.9697 Å; angles 90.00, 90.00, 90.00 degrees
Space group P-4m2 (No. 115)
One atom of each set of equivalent atoms:
La  0.0000  0.0000  0.0000 x1
Pm  0.0000  0.5000  0.3497 x2
Pm  0.5000  0.5000  0.0000 x1
Pb  0.0000  0.5000  0.7138 x2

No. 2
For La12Pm6Pb, a cell relaxed with GGA-PBE gives the computed X-ray powder pattern in this record (Cu Kα).

Largest 12 diffraction maxima, sorted by position, 5 to 70 degrees two-theta:
| 2θ (°) | intensity |
| --- | --- |
| 10.2 | 17 |
| 28.9 | 36 |
| 30.7 | 64 |
| 30.9 | 89 |
| 31.1 | 100 |
| 33.5 | 27 |
| 35.8 | 17 |
| 48.5 | 25 |
| 53.9 | 15 |
| 55.4 | 24 |
| 56.5 | 15 |
| 59.8 | 16 |

Cell and atoms:
Cell lengths 13.6089, 13.6089, 12.8199 Å; angles 90.00, 90.00, 120.00 degrees
Space group R-3 (No. 148, hexagonal axes)
One atom of each set of equivalent atoms:
La  0.0006  0.2596  0.0003 x18
La  0.0582  0.5293  0.1102 x18
Pm  0.0887  0.1785  0.7738 x18
Pb  0.0000  0.0000  0.0000 x3

No. 3
For La3PmPb2Se, a cell relaxed with GGA-PBE gives the computed X-ray powder pattern in this record (Cu Kα).

Largest 12 diffraction maxima, sorted by position, 5 to 70 degrees two-theta:
| 2θ (°) | intensity |
| --- | --- |
| 10.4 | 20 |
| 23.0 | 51 |
| 25.3 | 57 |
| 30.9 | 26 |
| 31.0 | 24 |
| 31.2 | 100 |
| 31.5 | 27 |
| 32.5 | 51 |
| 33.0 | 49 |
| 45.9 | 37 |
| 47.0 | 37 |
| 57.7 | 24 |

Cell and atoms:
Cell lengths 5.4295, 5.5144, 17.0193 Å; angles 90.00, 90.00, 90.00 degrees
Space group Immm (No. 71)
One atom of each set of equivalent atoms:
La  0.0000  0.0000  0.0000 x2
La  0.0000  0.5000  0.1742 x4
Pm  0.0000  0.0000  0.5000 x2
Pb  0.0000  0.5000  0.3678 x4
Se  0.0000  0.5000  0.0000 x2